Eu3Sn2S7: computed powder XRD pattern (Cu Kα (weighted mean of Kα1 and Kα2)), based on a structure optimized by DFT (GGA-PBE).
Intensities are scaled so that the largest is 100.

Structure:
```
Eu3Sn2S7
1.0
11.401 0.000 0.000
0.000 12.661 0.000
0.000 0.000 3.996
Eu Sn S
6 4 14
direct
0.000 0.000 0.000
0.117 0.348 0.000
0.383 0.848 0.000
0.500 0.500 0.000
0.617 0.152 0.000
0.883 0.652 0.000
0.213 0.609 0.500
0.287 0.109 0.500
0.713 0.891 0.500
0.787 0.391 0.500
0.000 0.500 0.500
0.080 0.179 0.500
0.145 0.713 0.000
0.202 0.930 0.500
0.298 0.430 0.500
0.355 0.213 0.000
0.420 0.679 0.500
0.500 0.000 0.500
0.580 0.321 0.500
0.645 0.787 0.000
0.702 0.570 0.500
0.798 0.070 0.500
0.855 0.287 0.000
0.920 0.821 0.500
```

Top 8 peaks for 2θ = 10–90°, in order of rising 2θ:
- 2θ 22.46, d 3.958, rel. 63
- 2θ 24.45, d 3.640, rel. 44
- 2θ 27.25, d 3.272, rel. 48
- 2θ 27.53, d 3.240, rel. 98
- 2θ 28.17, d 3.167, rel. 42
- 2θ 31.82, d 2.812, rel. 100
- 2θ 46.41, d 1.957, rel. 39
- 2θ 48.83, d 1.865, rel. 41

Eu2SnS4: computed powder XRD pattern (Cu Kα (weighted mean of Kα1 and Kα2)), based on a structure optimized by DFT (GGA-PBE).
Intensities are scaled so that the largest is 100.

Structure:
```
Eu2SnS4
1.0
11.284 0.000 0.000
0.000 8.817 0.000
0.000 0.000 7.521
Eu Sn S
8 4 16
direct
0.190 0.005 0.120
0.190 0.495 0.120
0.310 0.505 0.620
0.310 0.995 0.620
0.690 0.005 0.380
0.690 0.495 0.380
0.810 0.505 0.880
0.810 0.995 0.880
0.030 0.250 0.610
0.470 0.750 0.110
0.530 0.250 0.890
0.970 0.750 0.390
0.064 0.014 0.774
0.064 0.486 0.774
0.189 0.750 0.401
0.198 0.250 0.397
0.302 0.750 0.897
0.311 0.250 0.901
0.436 0.514 0.274
0.436 0.986 0.274
0.564 0.014 0.726
0.564 0.486 0.726
0.689 0.750 0.099
0.698 0.250 0.103
0.802 0.750 0.603
0.811 0.250 0.599
0.936 0.514 0.226
0.936 0.986 0.226
```

Top 8 peaks for 2θ = 10–90°, in order of rising 2θ:
- 2θ 24.70, d 3.604, rel. 83
- 2θ 24.96, d 3.567, rel. 54
- 2θ 25.64, d 3.474, rel. 50
- 2θ 26.50, d 3.364, rel. 44
- 2θ 32.28, d 2.773, rel. 100
- 2θ 33.94, d 2.641, rel. 60
- 2θ 40.94, d 2.204, rel. 40
- 2θ 46.81, d 1.941, rel. 35